[1]
Starting from a PBE-relaxed structure, the powder X-ray diffraction pattern of ThAgI5 was simulated for Cu Ka.
Intensities are scaled so that the largest is 100.

Largest 12 diffraction maxima, most intense first, 10 to 90 degrees two-theta:
5.365 Å, 2θ 16.52, intensity 100
5.120 Å, 2θ 17.32, intensity 52
3.035 Å, 2θ 29.43, intensity 42
3.590 Å, 2θ 24.80, intensity 40
7.641 Å, 2θ 11.58, intensity 39
3.272 Å, 2θ 27.26, intensity 33
2.509 Å, 2θ 35.79, intensity 31
1.936 Å, 2θ 46.92, intensity 29
4.149 Å, 2θ 21.42, intensity 28
2.560 Å, 2θ 35.06, intensity 25
3.698 Å, 2θ 24.07, intensity 24
2.520 Å, 2θ 35.63, intensity 23

Structural model:
```
ThAgI5
1.0
6.0084 -5.7387 0.0000
6.0084 5.7387 0.0000
-5.6636 0.0000 10.3462
Th Ag I
2 2 10
direct
0.0000 0.5000 0.0000
0.5000 0.0000 0.5000
0.1269 0.8731 0.7500
0.8731 0.1269 0.2500
0.1691 0.1823 0.4744
0.1760 0.5812 0.8363
0.1823 0.1691 0.9744
0.3255 0.6745 0.2500
0.4188 0.8240 0.6637
0.5812 0.1760 0.3363
0.6745 0.3255 0.7500
0.8177 0.8309 0.0256
0.8240 0.4188 0.1637
0.8309 0.8177 0.5256
```


[2]
Starting from a PBE-relaxed structure, the powder X-ray diffraction pattern of Ti2AgI2 was simulated for Cu Ka.
Intensities are scaled so that the largest is 100.

Largest 12 diffraction maxima, most intense first, 10 to 90 degrees two-theta:
3.323 Å, 2θ 26.83, intensity 100
2.116 Å, 2θ 42.74, intensity 36
1.648 Å, 2θ 55.79, intensity 25
1.898 Å, 2θ 47.94, intensity 17
2.684 Å, 2θ 33.39, intensity 17
2.381 Å, 2θ 37.79, intensity 12
2.579 Å, 2θ 34.79, intensity 10
1.962 Å, 2θ 46.27, intensity 10
3.438 Å, 2θ 25.91, intensity 10
1.133 Å, 2θ 85.74, intensity 9
1.681 Å, 2θ 54.58, intensity 9
2.793 Å, 2θ 32.04, intensity 9

Structural model:
```
Ti2AgI2
1.0
-1.8976 1.8976 10.3146
1.8976 -1.8976 10.3146
1.8976 1.8976 -10.3146
Ti Ag I
2 1 2
direct
0.2500 0.7500 0.5000
0.7500 0.2500 0.5000
0.0000 0.0000 0.0000
0.3522 0.3522 0.0000
0.6478 0.6478 0.0000
```


[3]
Starting from a PBE-relaxed structure, the powder X-ray diffraction pattern of Ti2AgI8 was simulated for Cu Ka.
Intensities are scaled so that the largest is 100.

Largest 12 diffraction maxima, most intense first, 10 to 90 degrees two-theta:
4.117 Å, 2θ 21.59, intensity 100
3.769 Å, 2θ 23.60, intensity 93
3.695 Å, 2θ 24.09, intensity 82
3.585 Å, 2θ 24.84, intensity 61
4.021 Å, 2θ 22.11, intensity 54
3.643 Å, 2θ 24.43, intensity 46
5.511 Å, 2θ 16.08, intensity 41
3.170 Å, 2θ 28.15, intensity 38
2.124 Å, 2θ 42.56, intensity 37
3.529 Å, 2θ 25.24, intensity 37
3.832 Å, 2θ 23.21, intensity 35
6.052 Å, 2θ 14.64, intensity 33

Structural model:
```
Ti2AgI8
1.0
7.7546 0.0000 0.0000
-1.8897 8.3445 0.0000
-0.5394 -1.4776 8.9530
Ti Ag I
2 1 8
direct
0.0000 0.0000 0.0000
0.4954 0.3565 0.5930
0.4424 0.8667 0.7207
0.1031 0.3102 0.0623
0.2672 0.5396 0.5735
0.2859 0.8797 0.9976
0.3121 0.0534 0.5194
0.6302 0.4030 0.8646
0.7236 0.4133 0.4032
0.8102 0.8780 0.1960
0.8200 0.9125 0.7333
```


[4]
Starting from a PBE-relaxed structure, the powder X-ray diffraction pattern of Tl3AgI5 was simulated for Cu Ka.
Intensities are scaled so that the largest is 100.

Largest 12 diffraction maxima, most intense first, 10 to 90 degrees two-theta:
3.094 Å, 2θ 28.85, intensity 100
2.861 Å, 2θ 31.26, intensity 94
3.115 Å, 2θ 28.66, intensity 84
2.101 Å, 2θ 43.05, intensity 39
4.201 Å, 2θ 21.15, intensity 27
2.491 Å, 2θ 36.05, intensity 22
1.897 Å, 2θ 47.95, intensity 20
3.383 Å, 2θ 26.34, intensity 20
1.485 Å, 2θ 62.57, intensity 20
2.031 Å, 2θ 44.61, intensity 17
1.941 Å, 2θ 46.81, intensity 13
1.619 Å, 2θ 56.88, intensity 13

Structural model:
```
Tl3AgI5
1.0
10.7188 0.0000 0.0000
-5.3594 9.2828 0.0000
0.0000 0.0000 13.5337
Tl Ag I
12 4 20
direct
0.0000 0.3644 0.0000
0.0000 0.3644 0.5000
0.0380 0.6490 0.2500
0.3510 0.3890 0.2500
0.3644 0.0000 0.0000
0.3644 0.0000 0.5000
0.3890 0.3510 0.7500
0.6110 0.9620 0.2500
0.6356 0.6356 0.0000
0.6356 0.6356 0.5000
0.6490 0.0380 0.7500
0.9620 0.6110 0.7500
0.0000 0.0000 0.1214
0.0000 0.0000 0.3786
0.0000 0.0000 0.6214
0.0000 0.0000 0.8786
0.0000 0.7546 0.0000
0.0000 0.7546 0.5000
0.0080 0.2464 0.7500
0.2385 0.9920 0.7500
0.2454 0.2454 0.0000
0.2454 0.2454 0.5000
0.2464 0.0080 0.2500
0.3333 0.6667 0.1000
0.3333 0.6667 0.4000
0.3333 0.6667 0.6436
0.3333 0.6667 0.8564
0.6667 0.3333 0.1436
0.6667 0.3333 0.3564
0.6667 0.3333 0.6000
0.6667 0.3333 0.9000
0.7536 0.7615 0.7500
0.7546 0.0000 0.0000
0.7546 0.0000 0.5000
0.7615 0.7536 0.2500
0.9920 0.2385 0.2500
```


[5]
Starting from a PBE-relaxed structure, the powder X-ray diffraction pattern of TmTlAg2I6 was simulated for Cu Ka.
Intensities are scaled so that the largest is 100.

Largest 12 diffraction maxima, most intense first, 10 to 90 degrees two-theta:
2.659 Å, 2θ 33.70, intensity 100
3.450 Å, 2θ 25.83, intensity 92
2.266 Å, 2θ 39.77, intensity 57
5.761 Å, 2θ 15.38, intensity 35
4.240 Å, 2θ 20.95, intensity 29
1.373 Å, 2θ 68.34, intensity 23
2.054 Å, 2θ 44.09, intensity 22
1.725 Å, 2θ 53.09, intensity 21
2.880 Å, 2θ 31.05, intensity 17
1.894 Å, 2θ 48.03, intensity 16
2.322 Å, 2θ 38.78, intensity 16
1.413 Å, 2θ 66.12, intensity 15

Structural model:
```
TmTlAg2I6
1.0
3.9254 2.2663 7.2308
-3.9254 2.2663 7.2308
0.0000 -4.5327 7.2308
Tm Tl Ag I
1 1 2 6
direct
0.0000 0.0000 0.0000
0.5157 0.5157 0.5157
0.3365 0.3365 0.3365
0.8188 0.8188 0.8188
0.0660 0.4065 0.7485
0.1828 0.9728 0.5887
0.4065 0.7485 0.0660
0.5887 0.1828 0.9728
0.7485 0.0660 0.4065
0.9728 0.5887 0.1828
```


[6]
Starting from a PBE-relaxed structure, the powder X-ray diffraction pattern of TlZnAgI2 was simulated for Cu Ka.
Intensities are scaled so that the largest is 100.

Largest 12 diffraction maxima, most intense first, 10 to 90 degrees two-theta:
3.348 Å, 2θ 26.62, intensity 100
2.885 Å, 2θ 31.00, intensity 82
5.770 Å, 2θ 15.36, intensity 62
2.056 Å, 2θ 44.05, intensity 62
2.929 Å, 2θ 30.52, intensity 43
1.674 Å, 2θ 54.84, intensity 32
1.742 Å, 2θ 52.53, intensity 31
2.040 Å, 2θ 44.40, intensity 30
1.181 Å, 2θ 81.52, intensity 20
2.612 Å, 2θ 34.33, intensity 18
2.581 Å, 2θ 34.76, intensity 17
1.762 Å, 2θ 51.91, intensity 16

Structural model:
```
TlZnAgI2
1.0
5.7703 0.0000 0.0000
0.0000 5.7703 0.0000
0.0000 0.0000 5.8586
Tl Zn Ag I
1 1 1 2
direct
0.0000 0.0000 0.0000
0.5000 0.5000 0.0000
0.0000 0.0000 0.5000
0.0000 0.5000 0.5000
0.5000 0.0000 0.5000
```


[7]
Starting from a PBE-relaxed structure, the powder X-ray diffraction pattern of U2AgI8 was simulated for Cu Ka.
Intensities are scaled so that the largest is 100.

Largest 12 diffraction maxima, most intense first, 10 to 90 degrees two-theta:
7.294 Å, 2θ 12.13, intensity 100
3.892 Å, 2θ 22.85, intensity 66
2.938 Å, 2θ 30.43, intensity 61
5.926 Å, 2θ 14.95, intensity 59
3.490 Å, 2θ 25.52, intensity 49
2.659 Å, 2θ 33.71, intensity 40
2.139 Å, 2θ 42.26, intensity 40
2.524 Å, 2θ 35.57, intensity 37
2.540 Å, 2θ 35.33, intensity 30
4.054 Å, 2θ 21.93, intensity 30
2.797 Å, 2θ 31.99, intensity 24
2.107 Å, 2θ 42.92, intensity 23

Structural model:
```
U2AgI8
1.0
7.0241 -4.2772 0.0000
7.0241 4.2772 0.0000
-1.0556 0.0000 9.3791
U Ag I
2 1 8
direct
0.1260 0.1260 0.3523
0.8740 0.8740 0.6477
0.0000 0.0000 0.0000
0.0979 0.0979 0.6767
0.1276 0.6230 0.8598
0.3334 0.3334 0.4424
0.3770 0.8724 0.1402
0.6230 0.1276 0.8598
0.6666 0.6666 0.5576
0.8724 0.3770 0.1402
0.9021 0.9021 0.3233
```


[8]
Starting from a PBE-relaxed structure, the powder X-ray diffraction pattern of UAg2I6 was simulated for Cu Ka.
Intensities are scaled so that the largest is 100.

Largest 12 diffraction maxima, most intense first, 10 to 90 degrees two-theta:
6.926 Å, 2θ 12.78, intensity 100
3.521 Å, 2θ 25.30, intensity 85
7.028 Å, 2θ 12.60, intensity 39
2.746 Å, 2θ 32.60, intensity 39
2.309 Å, 2θ 39.01, intensity 31
3.564 Å, 2θ 24.98, intensity 29
2.705 Å, 2θ 33.12, intensity 28
2.115 Å, 2θ 42.75, intensity 28
3.547 Å, 2θ 25.11, intensity 18
2.066 Å, 2θ 43.81, intensity 16
1.955 Å, 2θ 46.46, intensity 15
3.462 Å, 2θ 25.73, intensity 14

Structural model:
```
UAg2I6
1.0
8.2879 -7.0275 0.0000
8.2879 7.0275 0.0000
-3.6189 0.0000 7.0938
U Ag I
2 4 12
direct
0.2465 0.7535 0.7500
0.7535 0.2465 0.2500
0.1263 0.4370 0.4461
0.4370 0.1263 0.9461
0.5630 0.8737 0.0539
0.8737 0.5630 0.5539
0.0252 0.2024 0.1977
0.1197 0.6499 0.3268
0.2024 0.0252 0.6977
0.2860 0.4886 0.8167
0.3501 0.8803 0.1732
0.4886 0.2860 0.3167
0.5114 0.7140 0.6833
0.6499 0.1197 0.8268
0.7140 0.5114 0.1833
0.7976 0.9748 0.3023
0.8803 0.3501 0.6732
0.9748 0.7976 0.8023
```


[9]
Starting from a PBE-relaxed structure, the powder X-ray diffraction pattern of ZnAgI4 was simulated for Cu Ka.
Intensities are scaled so that the largest is 100.

Largest 12 diffraction maxima, most intense first, 10 to 90 degrees two-theta:
4.973 Å, 2θ 17.84, intensity 100
2.436 Å, 2θ 36.89, intensity 62
2.795 Å, 2θ 32.02, intensity 46
1.858 Å, 2θ 49.04, intensity 27
1.837 Å, 2θ 49.64, intensity 26
3.094 Å, 2θ 28.85, intensity 26
3.952 Å, 2θ 22.50, intensity 24
2.486 Å, 2θ 36.12, intensity 17
1.976 Å, 2θ 45.92, intensity 16
7.905 Å, 2θ 11.19, intensity 15
1.547 Å, 2θ 59.78, intensity 15
6.188 Å, 2θ 14.31, intensity 13

Structural model:
```
ZnAgI4
1.0
7.9048 0.0000 0.0000
0.0000 7.9048 0.0000
0.0000 0.0000 9.9458
Zn Ag I
2 2 8
direct
0.0000 0.5000 0.0000
0.5000 0.0000 0.5000
0.0000 0.0000 0.0000
0.0000 0.0000 0.5000
0.2412 0.2576 0.0000
0.2412 0.7424 0.0000
0.2576 0.2412 0.5000
0.2576 0.7588 0.5000
0.7424 0.2412 0.5000
0.7424 0.7588 0.5000
0.7588 0.2576 0.0000
0.7588 0.7424 0.0000
```


[10]
Starting from a PBE-relaxed structure, the powder X-ray diffraction pattern of Zr3AgI was simulated for Cu Ka.
Intensities are scaled so that the largest is 100.

Largest 12 diffraction maxima, most intense first, 10 to 90 degrees two-theta:
2.617 Å, 2θ 34.27, intensity 100
1.850 Å, 2θ 49.24, intensity 70
3.022 Å, 2θ 29.56, intensity 63
3.701 Å, 2θ 24.05, intensity 39
1.170 Å, 2θ 82.40, intensity 30
1.578 Å, 2θ 58.49, intensity 27
1.511 Å, 2θ 61.36, intensity 24
2.137 Å, 2θ 42.30, intensity 17
5.234 Å, 2θ 16.94, intensity 14
1.308 Å, 2θ 72.20, intensity 11
1.201 Å, 2θ 79.89, intensity 11
1.399 Å, 2θ 66.89, intensity 8

Structural model:
```
Zr3AgI
1.0
5.2339 0.0000 0.0000
0.0000 5.2339 0.0000
0.0000 0.0000 5.2339
Zr Ag I
3 1 1
direct
0.0000 0.0000 0.5000
0.0000 0.5000 0.0000
0.5000 0.0000 0.0000
0.0000 0.0000 0.0000
0.5000 0.5000 0.5000
```